Structure and simulated powder diffraction line list of EuMg2H6 (a DFT-relaxed cell (GGA-PBE, the Materials Project); Cu Kα (weighted mean of Kα1 and Kα2)).
No peak broadening, texture or thermal motion is included.

Most intense lines, 15° ≤ 2θ ≤ 90°, by angle:
- d 3.742, intensity 22.5, hkl 1 0 0
- d 3.392, intensity 100.0, hkl 1 0 1
- d 2.737, intensity 86.8, hkl 1 0 2
- d 2.646, intensity 40.7, hkl 1 1 0
- d 2.513, intensity 35.5, hkl 1 1 1
- d 2.176, intensity 18.9, hkl 1 0 3
- d 1.881, intensity 23.6, hkl 1 1 3
- d 1.638, intensity 24.3, hkl 2 1 1
- d 1.599, intensity 16.0, hkl 1 1 4
- d 1.545, intensity 30.5, hkl 2 1 2

Cell: 3.7420 3.7420 8.0270 Å, 90.00 90.00 90.00°
Space group P4/mmm (No. 123)
Asymmetric unit:
Eu  0.0000  0.0000  0.0000 x1
Mg  0.5000  0.5000  0.2762 x2
H  0.0000  0.5000  0.2096 x4
H  0.5000  0.5000  0.0000 x1
H  0.5000  0.5000  0.5000 x1